Computed powder diffraction line list of LaNd3Al2 for Cu Kα, from a crystal structure in Alexandria, relaxed with PBE.
Peak positions follow from Bragg's law for the DFT cell and can differ from measured ones.

Structural model:
Lattice parameters (Å, degrees): 5.295 9.898 6.765 90.00 90.00 90.00
Fractional positions:
La 0.000 0.047 0.000
La 0.000 0.953 0.500
Nd 0.000 0.330 0.668
Nd 0.000 0.670 0.168
Nd 0.500 0.173 0.284
Nd 0.500 0.453 0.956
Nd 0.500 0.547 0.456
Nd 0.500 0.827 0.784
Al 0.000 0.352 0.188
Al 0.000 0.648 0.688
Al 0.500 0.151 0.763
Al 0.500 0.849 0.263

Top 12 peaks for 10° ≤ 2θ ≤ 80°, in order of rising 2θ:
| 2theta | d/Å | I (rel.) | index |
| --- | --- | --- | --- |
| 22.3 | 3.994 | 24 | 0 2 1 |
| 23.1 | 3.843 | 38 | 1 1 1 |
| 28.0 | 3.189 | 37 | 1 2 1 |
| 30.1 | 2.966 | 16 | 0 3 1 |
| 31.4 | 2.851 | 23 | 1 0 2 |
| 32.0 | 2.798 | 100 | 1 3 0 |
| 32.7 | 2.739 | 72 | 1 1 2 |
| 33.9 | 2.648 | 42 | 2 0 0 |
| 47.3 | 1.921 | 22 | 2 2 2 |
| 58.0 | 1.590 | 23 | 1 4 3 |
| 59.9 | 1.545 | 23 | 3 1 2 |
| 60.4 | 1.533 | 14 | 1 6 1 |